For Pm3Zn7Ni4, a crystal structure in Alexandria, relaxed with GGA-PBE gives the simulated powder XRD pattern in this record (Cu Kα (λ = 1.5418 Å)).
Intensities are scaled so that the largest is 100.

Structural model:
a b c (Å): 7.794 7.794 9.191
angles (deg): 122.38 122.38 31.42
Element x y z (fractional)
Pm  0.000  0.000  0.000
Pm  0.304  0.304  0.297
Pm  0.696  0.696  0.703
Zn  0.000  0.000  0.500
Zn  0.145  0.145  0.414
Zn  0.324  0.324  0.981
Zn  0.494  0.494  0.710
Zn  0.506  0.506  0.290
Zn  0.676  0.676  0.019
Zn  0.855  0.855  0.586
Ni  0.113  0.113  0.827
Ni  0.331  0.331  0.711
Ni  0.669  0.669  0.289
Ni  0.887  0.887  0.173

Principal peaks in the range 15 to 90 degrees two-theta, by angle:
d_spacing	intensity
2.962	38
2.544	100
2.476	61
2.453	29
2.435	86
2.387	24
2.259	21
2.147	28
2.110	71
2.078	28